Diffraction record for S. The powder diffraction line list is computed, not measured: it uses a cell relaxed with GGA-PBE and λ = 1.5418 Å (Cu Kα).
Peak positions follow from Bragg's law for the DFT cell and can differ from measured ones.

Crystal structure
Cell: 14.7219 14.1474 9.6196 Å, 73.80 67.34 38.86°
Fractional positions:
S 0.0721 0.1719 0.7323
S 0.1195 0.2260 0.3586
S 0.1719 0.0721 0.5236
S 0.1952 0.2934 0.7435
S 0.2041 0.6414 0.7740
S 0.2260 0.1195 0.7959
S 0.2426 0.3469 0.3706
S 0.2565 0.7320 0.8048
S 0.2677 0.4764 0.9279
S 0.2680 0.7435 0.2934
S 0.2934 0.1952 0.2680
S 0.3469 0.2426 0.5399
S 0.3586 0.7959 0.1195
S 0.3706 0.5399 0.2426
S 0.4601 0.6294 0.6531
S 0.4764 0.2677 0.8281
S 0.5236 0.7323 0.1719
S 0.5399 0.3706 0.3469
S 0.6294 0.4601 0.7574
S 0.6414 0.2041 0.8805
S 0.6531 0.7574 0.4601
S 0.7066 0.8048 0.7320
S 0.7320 0.2565 0.7066
S 0.7323 0.5236 0.0721
S 0.7435 0.2680 0.1952
S 0.7574 0.6531 0.6294
S 0.7740 0.8805 0.2041
S 0.7959 0.3586 0.2260
S 0.8048 0.7066 0.2565
S 0.8281 0.9279 0.4764
S 0.8805 0.7740 0.6414
S 0.9279 0.8281 0.2677

Top 10 peaks for 2θ = 5–70°, most intense first:
2θ (°)	d (Å)	I/Imax
20.02	4.436	100.0
24.17	3.683	39.1
9.97	8.871	30.4
22.74	3.911	29.8
14.01	6.320	29.2
18.75	4.732	27.1
19.73	4.500	26.3
26.21	3.401	26.1
25.48	3.496	25.0
45.29	2.002	14.7

=====

Diffraction record for S. The powder diffraction line list is computed, not measured: it uses a cell relaxed with GGA-PBE and λ = 1.5418 Å (Cu Kα).
Peak positions follow from Bragg's law for the DFT cell and can differ from measured ones.

Crystal structure
Cell: 8.4409 8.4409 4.4034 Å, 90.00 90.00 120.00°
Fractional positions:
S 0.0000 0.8999 0.3333
S 0.1001 0.1001 0.0000
S 0.2466 0.5577 0.5593
S 0.3112 0.7534 0.8927
S 0.4423 0.6888 0.2260
S 0.5577 0.2466 0.4407
S 0.6888 0.4423 0.7740
S 0.7534 0.3112 0.1073
S 0.8999 0.0000 0.6667

Top 10 peaks for 2θ = 5–70°, most intense first:
2θ (°)	d (Å)	I/Imax
21.05	4.220	100.0
29.31	3.047	41.1
42.40	2.132	15.8
31.82	2.812	15.7
49.49	1.842	14.8
53.20	1.722	14.6
47.80	1.903	9.8
64.78	1.439	6.0
38.46	2.340	5.8
66.48	1.406	4.9

=====

Diffraction record for S. The powder diffraction line list is computed, not measured: it uses a cell relaxed with GGA-PBE and λ = 1.5418 Å (Cu Kα).
Peak positions follow from Bragg's law for the DFT cell and can differ from measured ones.

Crystal structure
Cell: 11.8547 11.8547 9.6597 Å, 101.17 101.17 50.26°
Fractional positions:
S 0.0325 0.1599 0.7487
S 0.0464 0.8640 0.6865
S 0.0615 0.6907 0.0780
S 0.0844 0.4889 0.6928
S 0.1180 0.4655 0.3615
S 0.1360 0.9536 0.8135
S 0.1599 0.0325 0.2487
S 0.2075 0.3369 0.5294
S 0.2579 0.6363 0.0425
S 0.3093 0.9385 0.4220
S 0.3369 0.2075 0.0294
S 0.3637 0.7421 0.4575
S 0.4181 0.4907 0.1905
S 0.4655 0.1180 0.8615
S 0.4889 0.0844 0.1928
S 0.4907 0.4181 0.6905
S 0.5093 0.5819 0.3095
S 0.5111 0.9156 0.8072
S 0.5345 0.8820 0.1385
S 0.5819 0.5093 0.8095
S 0.6363 0.2579 0.5425
S 0.6631 0.7925 0.9706
S 0.6907 0.0615 0.5780
S 0.7421 0.3637 0.9575
S 0.7925 0.6631 0.4706
S 0.8401 0.9675 0.7513
S 0.8640 0.0464 0.1865
S 0.8820 0.5345 0.6385
S 0.9156 0.5111 0.3072
S 0.9385 0.3093 0.9220
S 0.9536 0.1360 0.3135
S 0.9675 0.8401 0.2513

Top 10 peaks for 2θ = 5–70°, most intense first:
2θ (°)	d (Å)	I/Imax
19.46	4.562	100.0
24.94	3.571	90.0
16.60	5.339	81.6
22.99	3.869	76.2
18.89	4.697	67.8
25.94	3.435	57.3
28.52	3.129	47.1
22.50	3.951	40.4
29.17	3.061	39.4
14.15	6.258	31.3

=====

Diffraction record for S. The powder diffraction line list is computed, not measured: it uses a cell relaxed with GGA-PBE and λ = 1.5418 Å (Cu Kα).
Peak positions follow from Bragg's law for the DFT cell and can differ from measured ones.

Crystal structure
Cell: 6.0091 3.7727 6.0359 Å, 90.00 113.47 90.00°
Fractional positions:
S 0.0210 0.0000 0.1662
S 0.3325 0.5000 0.4759
S 0.6675 0.5000 0.5241
S 0.9790 0.0000 0.8338

Top 10 peaks for 2θ = 5–70°, most intense first:
2θ (°)	d (Å)	I/Imax
28.65	3.116	100.0
17.61	5.036	63.5
16.04	5.524	25.3
40.54	2.225	16.9
51.77	1.766	16.6
40.41	2.232	16.5
29.79	2.999	12.4
51.58	1.772	11.8
29.91	2.987	11.7
48.24	1.886	8.8

=====

Diffraction record for S. The powder diffraction line list is computed, not measured: it uses a cell relaxed with GGA-PBE and λ = 1.5418 Å (Cu Kα).
Peak positions follow from Bragg's law for the DFT cell and can differ from measured ones.

Crystal structure
Cell: 16.6440 6.6775 22.9270 Å, 90.00 133.33 90.00°
Fractional positions:
S 0.0164 0.1036 0.3491
S 0.0164 0.3964 0.8491
S 0.0407 0.1733 0.1138
S 0.0407 0.3267 0.6138
S 0.0565 0.0083 0.6173
S 0.0565 0.4917 0.1173
S 0.1049 0.5878 0.2847
S 0.1049 0.9122 0.7847
S 0.1971 0.0844 0.2135
S 0.1971 0.4156 0.7135
S 0.2193 0.1491 0.3112
S 0.2193 0.3509 0.8112
S 0.2418 0.0334 0.8217
S 0.2418 0.4666 0.3217
S 0.2612 0.1252 0.5826
S 0.2612 0.3748 0.0826
S 0.2807 0.6927 0.0960
S 0.2807 0.8073 0.5960
S 0.2995 0.7311 0.5194
S 0.2995 0.7689 0.0194
S 0.4003 0.2452 0.6805
S 0.4003 0.2548 0.1805
S 0.4416 0.1314 0.5582
S 0.4416 0.3686 0.0582
S 0.4558 0.6862 0.0731
S 0.4558 0.8138 0.5731
S 0.4820 0.7488 0.3360
S 0.4820 0.7512 0.8360
S 0.5180 0.2488 0.1640
S 0.5180 0.2512 0.6640
S 0.5442 0.1862 0.4269
S 0.5442 0.3138 0.9269
S 0.5584 0.6314 0.9418
S 0.5584 0.8686 0.4418
S 0.5997 0.7452 0.8195
S 0.5997 0.7548 0.3195
S 0.7005 0.2311 0.9806
S 0.7005 0.2689 0.4806
S 0.7193 0.1927 0.4040
S 0.7193 0.3073 0.9040
S 0.7388 0.6252 0.9174
S 0.7388 0.8748 0.4174
S 0.7582 0.5334 0.6783
S 0.7582 0.9666 0.1783
S 0.7807 0.6491 0.1888
S 0.7807 0.8509 0.6888
S 0.8029 0.5844 0.2865
S 0.8029 0.9156 0.7865
S 0.8951 0.0878 0.2153
S 0.8951 0.4122 0.7153
S 0.9435 0.5083 0.8827
S 0.9435 0.9917 0.3827
S 0.9593 0.6733 0.3862
S 0.9593 0.8267 0.8862
S 0.9836 0.6036 0.1509
S 0.9836 0.8964 0.6509

Top 10 peaks for 2θ = 5–70°, most intense first:
2θ (°)	d (Å)	I/Imax
16.56	5.353	100.0
21.28	4.175	53.6
26.95	3.308	44.0
14.29	6.199	40.6
32.10	2.789	36.2
21.70	4.095	35.9
27.24	3.274	35.8
17.07	5.195	35.4
25.23	3.529	32.8
15.46	5.732	28.5